Diffraction record for KCaNb2O6F. The powder diffraction line list is simulated, not measured: it uses a PBE-relaxed structure and Cu Ka.

Top 6 peaks for 5 to 70 degrees two-theta, in order of rising 2θ:
two_theta  d_spacing  Rel. int.
14.2  6.225  36
28.7  3.113  94
29.1  3.072  100
33.5  2.671  29
48.0  1.896  61
56.8  1.621  28

Structure:
```
KCaNb2O6F
1.0
-3.742 3.815 5.382
3.742 -3.815 5.382
3.742 3.815 -5.382
K Ca Nb O F
2 2 4 12 2
direct
0.500 0.000 0.000
0.500 0.500 0.500
0.000 0.000 0.000
0.500 0.000 0.500
0.000 0.000 0.500
0.000 0.500 0.000
0.000 0.500 0.500
0.500 0.500 0.000
0.059 0.427 0.241
0.059 0.817 0.631
0.067 0.817 0.250
0.309 0.559 0.750
0.314 0.183 0.741
0.314 0.573 0.131
0.686 0.427 0.869
0.686 0.817 0.259
0.691 0.441 0.250
0.933 0.183 0.750
0.941 0.183 0.369
0.941 0.573 0.759
0.347 0.097 0.250
0.653 0.903 0.750
```